Starting from a crystal structure in the Materials Project, relaxed with PBE+U, the powder X-ray diffraction pattern of FePH6NO5 was simulated for Cu Kα.
Lines closer than 0.1° are merged.

Structure:
Unit cell a=4.859 b=5.705 c=9.036 alpha=89.95 beta=89.83 gamma=88.90
Sites, in units of the cell vectors:
Fe 0.000 0.000 0.000
Fe 0.496 0.500 0.954
P 0.066 0.500 0.173
P 0.569 0.998 0.782
H 0.055 0.635 0.788
H 0.076 0.360 0.784
H 0.115 0.148 0.392
H 0.119 0.849 0.394
H 0.301 0.000 0.522
H 0.445 0.501 0.429
H 0.561 0.136 0.167
H 0.573 0.861 0.169
H 0.615 0.647 0.564
H 0.617 0.348 0.562
H 0.802 0.499 0.433
H 0.944 0.001 0.526
N 0.120 0.999 0.458
N 0.620 0.499 0.498
O 0.119 0.500 0.343
O 0.187 0.502 0.774
O 0.209 0.718 0.100
O 0.218 0.284 0.098
O 0.259 0.002 0.812
O 0.621 0.007 0.612
O 0.688 0.000 0.181
O 0.714 0.774 0.850
O 0.715 0.209 0.860
O 0.757 0.502 0.144

Peak list (10 most intense, 2θ from 5° to 70°, in order of falling intensity)
| h k l | d [Å] | 2theta | Rel. int. |
| --- | --- | --- | --- |
| 0 0 1 | 9.036 | 9.79 | 100 |
| 0 2 0 | 2.848 | 31.41 | 39 |
| 1 1 2 | 2.878 | 31.07 | 23 |
| 1 0 1 | 4.279 | 20.76 | 14 |
| 0 1 1 | 4.823 | 18.39 | 10 |
| 1 1 1 | 3.451 | 25.82 | 6 |
| -1 1 1 | 3.395 | 26.25 | 6 |
| -1 1 3 | 2.327 | 38.70 | 5 |
| 1 3 -2 | 1.658 | 55.43 | 5 |
| 2 0 0 | 2.429 | 37.01 | 5 |